Entry 1:
Calculated X-ray powder pattern
Compound: Li2NiPd8
Radiation: a wavelength of 1.5418 Å
Structure: a structure optimized by DFT (PBE)
Peak positions follow from Bragg's law for the DFT cell and can differ from measured ones.

Atomic structure:
```
Li2NiPd8
1.0
6.9679 -1.9571 0.0000
6.9679 1.9571 0.0000
-1.6023 0.0000 5.9013
Li Ni Pd
2 1 8
direct
0.2262 0.2262 0.1416
0.7738 0.7738 0.8584
0.5000 0.5000 0.5000
0.0462 0.0462 0.2296
0.1371 0.1371 0.6843
0.3193 0.3193 0.5900
0.4067 0.4067 0.0530
0.5933 0.5933 0.9470
0.6807 0.6807 0.4100
0.8629 0.8629 0.3157
0.9538 0.9538 0.7704
```

Top 12 peaks for 2θ from 5° to 70°, by angle:
d (Å), Position (°2θ), I/Imax
6.724, 13.2, 10
5.901, 15.0, 3
3.952, 22.5, 6
3.362, 26.5, 5
3.281, 27.2, 7
2.841, 31.5, 3
2.293, 39.3, 4
2.242, 40.2, 100
1.957, 46.4, 16
1.933, 47.0, 32
1.375, 68.2, 20
1.367, 68.7, 10

---

Entry 2:
Calculated X-ray powder pattern
Compound: V5Re2Mo2
Radiation: a wavelength of 1.5418 Å
Structure: a structure optimized by DFT (PBE)
Peak positions follow from Bragg's law for the DFT cell and can differ from measured ones.

Atomic structure:
```
V5Re2Mo2
1.0
5.8860 -3.4386 0.0000
5.8860 3.4386 0.0000
-1.9669 0.0000 6.6127
V Re Mo
10 4 4
direct
0.0339 0.0339 0.2002
0.1967 0.2757 0.9541
0.2339 0.5844 0.2896
0.2729 0.4731 0.6418
0.4156 0.7661 0.7104
0.5269 0.7271 0.3582
0.5541 0.0647 0.7058
0.7243 0.8033 0.0459
0.9353 0.4459 0.2942
0.9661 0.9661 0.7998
0.1343 0.1334 0.5783
0.6072 0.2279 0.0918
0.7721 0.3928 0.9082
0.8666 0.8657 0.4217
0.3243 0.6757 0.0000
0.3852 0.1328 0.3066
0.6724 0.3276 0.5000
0.8672 0.6148 0.6934
```

Top 12 peaks for 2θ from 5° to 70°, by angle:
d (Å), Position (°2θ), I/Imax
5.872, 15.1, 28
4.099, 21.7, 26
3.791, 23.5, 23
3.301, 27.0, 21
3.051, 29.3, 20
2.286, 39.4, 26
2.246, 40.1, 48
2.223, 40.6, 100
2.172, 41.6, 26
2.090, 43.3, 66
2.074, 43.6, 18
2.050, 44.2, 36